Theoretical powder X-ray diffraction pattern
Compound: Y2Si3Os
Radiation: Cu Kα, 1.54184 Å
Structure: the GGA-PBE geometry in Alexandria
Intensities are scaled so that the largest is 1000.

Top 10 peaks for 10 to 80 degrees two-theta, most intense first:
2θ = 33.62°, intensity 1000
2θ = 33.74°, intensity 526
2θ = 24.37°, intensity 522
2θ = 44.15°, intensity 482
2θ = 16.63°, intensity 394
2θ = 65.04°, intensity 298
2θ = 43.87°, intensity 246
2θ = 56.46°, intensity 240
2θ = 45.21°, intensity 223
2θ = 21.53°, intensity 186

Atomic structure:
```
12
Lattice="0.0000 4.1276 7.0917 4.0114 0.0000 7.0917 4.0114 4.1276 0.0000" Properties=species:S:1:pos:R:3 pbc="T T T"
Y 6.0837 4.1276 7.0917
Y 2.0057 2.0638 3.5459
Y 6.0171 6.1913 10.6376
Y 1.9392 4.1276 7.0917
Si 4.0114 2.0648 5.8992
Si 4.0114 4.1276 4.7031
Si 4.0114 2.0648 8.2842
Si 4.0114 6.1903 5.8992
Si 4.0114 4.1276 9.4803
Si 4.0114 6.1903 8.2842
Os 4.0114 4.1276 2.3408
Os 4.0114 4.1276 11.8426
```

Theoretical powder X-ray diffraction pattern
Compound: Y3Si8Os3
Radiation: Cu Kα, 1.54184 Å
Structure: the GGA-PBE geometry in Alexandria
Intensities are scaled so that the largest is 1000.

Top 10 peaks for 10 to 80 degrees two-theta, most intense first:
2θ = 29.52°, intensity 1000
2θ = 31.32°, intensity 744
2θ = 12.97°, intensity 557
2θ = 36.11°, intensity 434
2θ = 43.28°, intensity 414
2θ = 24.06°, intensity 353
2θ = 42.07°, intensity 317
2θ = 35.46°, intensity 276
2θ = 26.93°, intensity 263
2θ = 41.17°, intensity 236

Atomic structure:
```
14
Lattice="7.5190 -2.0906 0.0000 7.5190 2.0906 0.0000 -4.0954 0.0000 7.3963" Properties=species:S:1:pos:R:3 pbc="T T T"
Y 0.0000 0.0000 0.0000
Y 3.0203 0.0000 2.5456
Y 7.9223 0.0000 4.8506
Si 0.1873 0.0000 2.8211
Si -1.3226 0.0000 6.2187
Si 2.3894 0.0000 5.5435
Si 6.0477 0.0000 2.2140
Si 4.8949 0.0000 5.1823
Si 8.5532 0.0000 1.8528
Si 12.2652 0.0000 1.1776
Si 10.7554 0.0000 4.5752
Os -2.0477 0.0000 3.6981
Os 0.8306 0.0000 7.3571
Os 10.1120 0.0000 0.0392
```

Theoretical powder X-ray diffraction pattern
Compound: Sm2Os3
Radiation: Cu Kα, 1.54184 Å
Structure: the GGA-PBE geometry in Alexandria
Intensities are scaled so that the largest is 1000.

Top 10 peaks for 10 to 80 degrees two-theta, most intense first:
2θ = 33.15°, intensity 1000
2θ = 40.85°, intensity 801
2θ = 37.64°, intensity 747
2θ = 41.77°, intensity 648
2θ = 29.45°, intensity 403
2θ = 20.34°, intensity 322
2θ = 17.08°, intensity 311
2θ = 36.36°, intensity 292
2θ = 69.47°, intensity 260
2θ = 65.05°, intensity 250

Atomic structure:
```
10
Lattice="2.5609 -5.1914 0.0000 2.5609 5.1914 0.0000 0.0000 0.0000 8.0759" Properties=species:S:1:pos:R:3 pbc="T T T"
Sm 2.5609 3.5871 7.2965
Sm 2.5609 1.6043 3.2586
Sm 2.5609 -1.6043 4.8173
Sm 2.5609 -3.5871 0.7794
Os 0.0000 0.0000 4.0379
Os 1.2804 0.9900 6.0569
Os 1.2804 -0.9900 2.0190
Os 2.5609 0.0000 0.0000
Os 3.8413 0.9900 6.0569
Os 3.8413 -0.9900 2.0190
```

Theoretical powder X-ray diffraction pattern
Compound: TbSm3Os
Radiation: Cu Kα, 1.54184 Å
Structure: the GGA-PBE geometry in Alexandria
Intensities are scaled so that the largest is 1000.

Top 10 peaks for 10 to 80 degrees two-theta, most intense first:
2θ = 29.81°, intensity 1000
2θ = 34.15°, intensity 879
2θ = 32.70°, intensity 599
2θ = 32.86°, intensity 555
2θ = 14.79°, intensity 550
2θ = 38.92°, intensity 481
2θ = 39.35°, intensity 363
2θ = 29.95°, intensity 342
2θ = 53.96°, intensity 314
2θ = 29.08°, intensity 297

Atomic structure:
```
10
Lattice="5.9729 -4.3538 0.0000 5.9729 4.3538 0.0000 -5.6903 0.0000 5.9930" Properties=species:S:1:pos:R:3 pbc="T T T"
Tb -0.7973 0.0000 1.5093
Tb 7.0527 0.0000 4.4837
Sm -1.5571 1.7012 4.7632
Sm -1.5571 -1.7012 4.7632
Sm 1.6324 0.0000 3.8998
Sm 4.6229 0.0000 2.0932
Sm 7.8125 1.7012 1.2298
Sm 7.8125 -1.7012 1.2298
Os 2.2328 0.0000 0.7794
Os 4.0225 0.0000 5.2136
```

Theoretical powder X-ray diffraction pattern
Compound: Sm8TlOs2
Radiation: Cu Kα, 1.54184 Å
Structure: the GGA-PBE geometry in Alexandria
Intensities are scaled so that the largest is 1000.

Top 10 peaks for 10 to 80 degrees two-theta, most intense first:
2θ = 31.40°, intensity 1000
2θ = 32.18°, intensity 786
2θ = 32.93°, intensity 705
2θ = 36.85°, intensity 659
2θ = 33.75°, intensity 621
2θ = 28.89°, intensity 497
2θ = 37.88°, intensity 379
2θ = 63.24°, intensity 314
2θ = 51.20°, intensity 298
2θ = 42.10°, intensity 289

Atomic structure:
```
11
Lattice="4.4819 -6.6879 0.0000 4.4819 6.6879 0.0000 -1.2341 0.0000 5.4409" Properties=species:S:1:pos:R:3 pbc="T T T"
Sm 0.0000 0.0000 0.0000
Sm 0.9125 1.7733 3.4140
Sm 3.1816 3.3470 1.1076
Sm 0.9125 -1.7733 3.4140
Sm 4.2254 1.7717 4.2386
Sm 3.1816 -3.3470 1.1076
Sm 4.2254 -1.7717 4.2386
Sm 6.3854 0.0000 2.2208
Tl 3.1934 0.0000 1.1080
Os 2.5705 4.1975 3.8308
Os 2.5705 -4.1975 3.8308
```

Theoretical powder X-ray diffraction pattern
Compound: Sm2Tm3Os2
Radiation: Cu Kα, 1.54184 Å
Structure: the GGA-PBE geometry in Alexandria
Intensities are scaled so that the largest is 1000.

Top 10 peaks for 10 to 80 degrees two-theta, most intense first:
2θ = 32.01°, intensity 1000
2θ = 33.56°, intensity 794
2θ = 35.85°, intensity 556
2θ = 34.69°, intensity 535
2θ = 39.87°, intensity 408
2θ = 45.84°, intensity 353
2θ = 15.70°, intensity 293
2θ = 31.06°, intensity 292
2θ = 37.23°, intensity 180
2θ = 50.38°, intensity 169

Atomic structure:
```
7
Lattice="5.9422 -1.9795 0.0000 5.9422 1.9795 0.0000 -3.4055 0.0000 7.6845" Properties=species:S:1:pos:R:3 pbc="T T T"
Sm 0.8784 0.0000 2.3496
Sm 7.6004 0.0000 5.3349
Tm 4.1923 0.0000 0.5531
Tm 4.2394 0.0000 3.8423
Tm 4.2865 0.0000 7.1314
Os -0.3820 0.0000 5.5278
Os 8.8608 0.0000 2.1567
```